Entry 1:
This entry pairs a crystal structure of TlSiHgF6 with its calculated PXRD pattern. Radiation: Cu Kα, 1.54184 Å. Structure: a structure optimized by DFT (PBE).
Neutral-atom scattering factors, no anomalous dispersion.

Crystal structure
```
TlSiHgF6
1.0
5.1166 0.0000 0.0000
0.0450 6.0967 0.0000
0.0225 3.0470 5.3972
Tl Si Hg F
1 1 1 6
direct
0.0000 0.0000 0.0000
0.4988 0.6661 0.6678
0.5014 0.3356 0.3287
0.3032 0.4401 0.8939
0.3032 0.6666 0.4415
0.3069 0.9000 0.6681
0.6907 0.4308 0.6704
0.6944 0.6683 0.8929
0.6945 0.8906 0.4406
```

Principal peaks in the range 10 to 80 degrees two-theta, in order of rising 2θ:
| two_theta | I/Imax | index |
| --- | --- | --- |
| 23.97 | 98 | 1 0 1 |
| 24.08 | 100 | 1 1 0 |
| 24.24 | 98 | -1 1 1 |
| 28.81 | 83 | 0 1 2 |
| 29.30 | 40 | 0 2 1 |
| 37.69 | 32 | 1 0 -2 |
| 38.09 | 30 | 1 2 2 |
| 45.92 | 36 | 2 1 2 |
| 46.11 | 37 | 2 -1 1 |
| 48.12 | 31 | 1 -1 2 |

---

Entry 2:
This entry pairs a crystal structure of SmHg2F8 with its calculated PXRD pattern. Radiation: Cu Kα, 1.54184 Å. Structure: a structure optimized by DFT (PBE).
Neutral-atom scattering factors, no anomalous dispersion.

Crystal structure
```
SmHg2F8
1.0
7.1696 0.0000 0.0000
-3.5848 6.2091 0.0000
0.0000 0.0000 4.4315
Sm Hg F
1 2 8
direct
0.0000 0.0000 0.0000
0.3333 0.6667 0.7344
0.6667 0.3333 0.2656
0.1546 0.3120 0.7404
0.1574 0.8454 0.7404
0.3120 0.1574 0.2596
0.3333 0.6667 0.2352
0.6667 0.3333 0.7648
0.6880 0.8426 0.7404
0.8426 0.1546 0.2596
0.8454 0.6880 0.2596
```

Principal peaks in the range 10 to 80 degrees two-theta, in order of rising 2θ:
| two_theta | I/Imax | index |
| --- | --- | --- |
| 24.68 | 95 | 1 0 1 |
| 24.84 | 100 | 1 1 0 |
| 35.30 | 20 | 0 2 1 |
| 43.36 | 18 | 0 1 2 |
| 43.67 | 69 | 3 0 0 |
| 50.61 | 17 | 2 0 2 |
| 50.95 | 23 | 2 2 0 |
| 57.18 | 19 | 3 -2 2 |
| 57.41 | 19 | 4 -3 1 |
| 69.32 | 22 | 1 4 0 |

---

Entry 3:
This entry pairs a crystal structure of SnHg12F7 with its calculated PXRD pattern. Radiation: Cu Kα, 1.54184 Å. Structure: a structure optimized by DFT (PBE).
Neutral-atom scattering factors, no anomalous dispersion.

Crystal structure
```
SnHg12F7
1.0
4.1985 0.0000 0.0000
1.8736 10.5669 0.0000
1.9885 2.2518 11.6025
Sn Hg F
1 12 7
direct
0.0000 0.0000 0.0000
0.0363 0.3634 0.3549
0.0647 0.3175 0.6915
0.1367 0.9916 0.4258
0.1919 0.6917 0.7253
0.2087 0.3720 0.0918
0.2312 0.5667 0.5245
0.4649 0.4080 0.8404
0.5946 0.9062 0.6719
0.6035 0.5991 0.2944
0.6200 0.6285 0.0628
0.6945 0.1787 0.5796
0.7687 0.8049 0.3828
0.0622 0.0473 0.8298
0.0854 0.8145 0.9893
0.4339 0.1797 0.3941
0.5021 0.9972 0.9991
0.7041 0.6196 0.8766
0.9072 0.1844 0.0094
0.9512 0.9508 0.1694
```

Principal peaks in the range 10 to 80 degrees two-theta, in order of rising 2θ:
| two_theta | I/Imax | index |
| --- | --- | --- |
| 22.99 | 81 | 0 0 3 |
| 24.94 | 71 | 1 2 1 |
| 25.29 | 53 | 1 -1 1 |
| 26.59 | 50 | 1 2 2 |
| 28.59 | 57 | 1 1 3 |
| 30.36 | 100 | 0 1 4 |
| 30.78 | 72 | 1 -2 1 |
| 31.36 | 62 | 1 3 0 |
| 33.94 | 53 | 1 0 -3 |
| 38.08 | 56 | 0 3 -3 |

---

What did the second record say?
This entry pairs a crystal structure of SmHg2F8 with its calculated PXRD pattern. Radiation: Cu Kα, 1.54184 Å. Structure: a structure optimized by DFT (PBE).
Neutral-atom scattering factors, no anomalous dispersion.

Crystal structure
```
SmHg2F8
1.0
7.1696 0.0000 0.0000
-3.5848 6.2091 0.0000
0.0000 0.0000 4.4315
Sm Hg F
1 2 8
direct
0.0000 0.0000 0.0000
0.3333 0.6667 0.7344
0.6667 0.3333 0.2656
0.1546 0.3120 0.7404
0.1574 0.8454 0.7404
0.3120 0.1574 0.2596
0.3333 0.6667 0.2352
0.6667 0.3333 0.7648
0.6880 0.8426 0.7404
0.8426 0.1546 0.2596
0.8454 0.6880 0.2596
```

Principal peaks in the range 10 to 80 degrees two-theta, in order of rising 2θ:
| two_theta | I/Imax | index |
| --- | --- | --- |
| 24.68 | 95 | 1 0 1 |
| 24.84 | 100 | 1 1 0 |
| 35.30 | 20 | 0 2 1 |
| 43.36 | 18 | 0 1 2 |
| 43.67 | 69 | 3 0 0 |
| 50.61 | 17 | 2 0 2 |
| 50.95 | 23 | 2 2 0 |
| 57.18 | 19 | 3 -2 2 |
| 57.41 | 19 | 4 -3 1 |
| 69.32 | 22 | 1 4 0 |

---

Copy entry 1 word for word.
This entry pairs a crystal structure of TlSiHgF6 with its calculated PXRD pattern. Radiation: Cu Kα, 1.54184 Å. Structure: a structure optimized by DFT (PBE).
Neutral-atom scattering factors, no anomalous dispersion.

Crystal structure
```
TlSiHgF6
1.0
5.1166 0.0000 0.0000
0.0450 6.0967 0.0000
0.0225 3.0470 5.3972
Tl Si Hg F
1 1 1 6
direct
0.0000 0.0000 0.0000
0.4988 0.6661 0.6678
0.5014 0.3356 0.3287
0.3032 0.4401 0.8939
0.3032 0.6666 0.4415
0.3069 0.9000 0.6681
0.6907 0.4308 0.6704
0.6944 0.6683 0.8929
0.6945 0.8906 0.4406
```

Principal peaks in the range 10 to 80 degrees two-theta, in order of rising 2θ:
| two_theta | I/Imax | index |
| --- | --- | --- |
| 23.97 | 98 | 1 0 1 |
| 24.08 | 100 | 1 1 0 |
| 24.24 | 98 | -1 1 1 |
| 28.81 | 83 | 0 1 2 |
| 29.30 | 40 | 0 2 1 |
| 37.69 | 32 | 1 0 -2 |
| 38.09 | 30 | 1 2 2 |
| 45.92 | 36 | 2 1 2 |
| 46.11 | 37 | 2 -1 1 |
| 48.12 | 31 | 1 -1 2 |